No. 1
This entry pairs a crystal structure of NpPH3CO5 with its calculated X-ray powder pattern. Radiation: a wavelength of 1.5418 Å. Structure: a GGA-PBE-relaxed structure.

Top 8 peaks for 5 to 70 degrees two-theta, in order of falling intensity:
13.20°, I 100; 20.33°, I 27; 25.28°, I 24; 13.33°, I 22; 26.77°, I 18; 26.58°, I 15; 29.41°, I 14; 18.10°, I 13

Structural model:
abc: 6.730 6.871 7.126
angles: 98.49 90.19 99.15
Fractional positions:
Np  0.145  0.482  0.248
Np  0.855  0.518  0.752
P  0.305  0.418  0.740
P  0.695  0.582  0.260
H  0.150  0.077  0.713
H  0.364  0.109  0.566
H  0.399  0.117  0.816
H  0.601  0.883  0.184
H  0.636  0.891  0.434
H  0.850  0.923  0.287
C  0.304  0.155  0.705
C  0.696  0.845  0.295
O  0.081  0.217  0.209
O  0.180  0.475  0.577
O  0.181  0.479  0.918
O  0.205  0.747  0.287
O  0.479  0.466  0.246
O  0.521  0.534  0.754
O  0.795  0.253  0.713
O  0.819  0.521  0.082
O  0.820  0.525  0.423
O  0.919  0.783  0.791

No. 2
This entry pairs a crystal structure of PuP2H2CO6 with its calculated X-ray powder pattern. Radiation: a wavelength of 1.5418 Å. Structure: a GGA-PBE-relaxed structure.

Top 8 peaks for 5 to 70 degrees two-theta, in order of falling intensity:
12.81°, I 100; 26.01°, I 70; 22.10°, I 59; 22.55°, I 52; 31.57°, I 41; 36.72°, I 32; 43.36°, I 29; 34.50°, I 26

Structural model:
abc: 8.142 8.142 5.392
angles: 102.13 102.13 116.22
Fractional positions:
Pu  0.235  0.765  0.000
Pu  0.765  0.235  0.000
P  0.129  0.363  0.631
P  0.363  0.129  0.631
P  0.637  0.871  0.369
P  0.871  0.637  0.369
H  0.096  0.096  0.765
H  0.313  0.313  0.979
H  0.687  0.687  0.021
H  0.904  0.904  0.235
C  0.224  0.224  0.765
C  0.776  0.776  0.235
O  0.004  0.388  0.801
O  0.014  0.257  0.327
O  0.257  0.014  0.327
O  0.294  0.576  0.703
O  0.388  0.004  0.801
O  0.424  0.706  0.297
O  0.576  0.294  0.703
O  0.612  0.996  0.199
O  0.706  0.424  0.297
O  0.743  0.986  0.673
O  0.986  0.743  0.673
O  0.996  0.612  0.199

Q: What is the formula in the first record?
A: NpPH3CO5

Q: Which formula does entry 2 have?
A: PuP2H2CO6